For TbTmPd2, a structure optimized by DFT (GGA-PBE) gives the simulated XRD peak list in this record (λ = 1.5418 Å (Cu Kα)).
Peak positions follow from Bragg's law for the DFT cell and can differ from measured ones.

Cell and atoms:
```
data_TbTmPd2
_cell_length_a 4.4667
_cell_length_b 5.6663
_cell_length_c 6.8806
_cell_angle_alpha 90.00
_cell_angle_beta 90.00
_cell_angle_gamma 90.00
_space_group_name_H-M_alt 'P m c 21'
_space_group_IT_number 26
loop_
_space_group_symop_operation_xyz
'x,y,z'
'-x,-y,z+1/2'
'-x,y,z'
'x,-y,z+1/2'
loop_
_atom_site_label
_atom_site_type_symbol
_atom_site_fract_x
_atom_site_fract_y
_atom_site_fract_z
Tb1 Tb 0.0000 0.1093 0.0000
Tm1 Tm 0.5000 0.3913 0.3616
Pd1 Pd 0.0000 0.4080 0.6379
Pd2 Pd 0.5000 0.0977 0.7219
```

Most intense lines, 2θ = 5–70°, in order of falling intensity:
36.58 deg, I = 100.0, hkl 1 1 2; 32.86 deg, I = 84.8, hkl 1 0 2; 39.89 deg, I = 84.1, hkl 1 2 1; 34.23 deg, I = 69.3, hkl 0 2 1; 40.39 deg, I = 55.3, hkl 2 0 0; 28.56 deg, I = 45.5, hkl 1 1 1; 53.95 deg, I = 38.0, hkl 2 2 1; 42.52 deg, I = 26.3, hkl 0 1 3; 55.86 deg, I = 23.8, hkl 0 1 4; 60.09 deg, I = 18.9, hkl 2 1 3; 63.84 deg, I = 17.6, hkl 0 3 3; 54.40 deg, I = 13.7, hkl 1 3 1

***

For TbPdW, a structure optimized by DFT (GGA-PBE) gives the simulated XRD peak list in this record (λ = 1.5418 Å (Cu Kα)).
Peak positions follow from Bragg's law for the DFT cell and can differ from measured ones.

Cell and atoms:
```
data_TbPdW
_cell_length_a 6.4470
_cell_length_b 6.4470
_cell_length_c 6.4470
_cell_angle_alpha 90.00
_cell_angle_beta 90.00
_cell_angle_gamma 90.00
_space_group_name_H-M_alt 'F -4 3 m'
_space_group_IT_number 216
_space_group_name_Hall 'F -4 2 3'
loop_
_atom_site_label
_atom_site_type_symbol
_atom_site_fract_x
_atom_site_fract_y
_atom_site_fract_z
Tb1 Tb 0.0000 0.0000 0.0000
Pd1 Pd 0.2500 0.2500 0.2500
W1 W 0.0000 0.0000 0.5000
```

Most intense lines, 2θ = 5–70°, in order of falling intensity:
39.54 deg, I = 100.0, hkl 2 2 0; 27.67 deg, I = 33.8, hkl 2 0 0; 57.15 deg, I = 17.1, hkl 4 0 0; 23.91 deg, I = 15.6, hkl 1 1 1; 64.66 deg, I = 12.9, hkl 4 2 0; 48.94 deg, I = 9.8, hkl 2 2 2; 46.73 deg, I = 7.6, hkl 3 1 1; 62.83 deg, I = 3.1, hkl 3 3 1

***

For TbYPd2, a structure optimized by DFT (GGA-PBE) gives the simulated XRD peak list in this record (λ = 1.5418 Å (Cu Kα)).
Peak positions follow from Bragg's law for the DFT cell and can differ from measured ones.

Cell and atoms:
```
data_TbYPd2
_cell_length_a 4.4800
_cell_length_b 5.7051
_cell_length_c 6.9331
_cell_angle_alpha 90.00
_cell_angle_beta 90.00
_cell_angle_gamma 90.00
_space_group_name_H-M_alt 'P m c 21'
_space_group_IT_number 26
loop_
_space_group_symop_operation_xyz
'x,y,z'
'-x,-y,z+1/2'
'-x,y,z'
'x,-y,z+1/2'
loop_
_atom_site_label
_atom_site_type_symbol
_atom_site_fract_x
_atom_site_fract_y
_atom_site_fract_z
Tb1 Tb 0.0000 0.1091 0.0000
Y1 Y 0.5000 0.3912 0.6379
Pd1 Pd 0.0000 0.4023 0.3614
Pd2 Pd 0.5000 0.0969 0.2763
```

Most intense lines, 2θ = 5–70°, in order of falling intensity:
36.36 deg, I = 100.0, hkl 1 1 2; 39.65 deg, I = 92.8, hkl 1 2 1; 32.66 deg, I = 78.3, hkl 1 0 2; 33.98 deg, I = 58.4, hkl 0 2 1; 40.26 deg, I = 51.8, hkl 2 0 0; 53.68 deg, I = 31.4, hkl 2 2 1; 28.41 deg, I = 30.3, hkl 1 1 1; 42.19 deg, I = 23.8, hkl 0 1 3; 55.40 deg, I = 22.3, hkl 0 1 4; 59.73 deg, I = 16.8, hkl 2 1 3; 63.33 deg, I = 15.8, hkl 0 3 3; 20.16 deg, I = 12.7, hkl 0 1 1

***

For Te3Pd10, a structure optimized by DFT (GGA-PBE) gives the simulated XRD peak list in this record (λ = 1.5418 Å (Cu Kα)).
Peak positions follow from Bragg's law for the DFT cell and can differ from measured ones.

Cell and atoms:
Unit cell a=12.6033 b=12.6033 c=12.6033 alpha=90.00 beta=90.00 gamma=90.00
Space group Fd-3m (No. 227, origin choice 2)
Symmetry-distinct sites (fractional):
Te 0.0000 0.0000 0.0000 x16
Te 0.1250 0.1250 0.6250 x8
Pd 0.0088 0.0088 0.7412 x32
Pd 0.1174 0.3750 0.3750 x48

Most intense lines, 2θ = 5–70°, in order of falling intensity:
40.49 deg, I = 100.0, hkl 4 4 0; 23.41 deg, I = 22.4, hkl 3 1 1; 58.60 deg, I = 15.9, hkl 8 0 0; 56.05 deg, I = 11.0, hkl 7 3 1; 37.06 deg, I = 6.9, hkl 3 3 3; 24.47 deg, I = 4.1, hkl 2 2 2; 47.29 deg, I = 3.3, hkl 5 3 3; 63.97 deg, I = 2.8, hkl 7 5 1; 19.93 deg, I = 2.3, hkl 2 2 0; 34.87 deg, I = 1.5, hkl 4 2 2; 47.88 deg, I = 1.5, hkl 6 2 2; 30.93 deg, I = 0.7, hkl 3 3 1

***

For TePd16, a structure optimized by DFT (GGA-PBE) gives the simulated XRD peak list in this record (λ = 1.5418 Å (Cu Kα)).
Peak positions follow from Bragg's law for the DFT cell and can differ from measured ones.

Cell and atoms:
```
data_TePd16
_cell_length_a 11.6405
_cell_length_b 2.7956
_cell_length_c 28.7427
_cell_angle_alpha 90.00
_cell_angle_beta 90.11
_cell_angle_gamma 90.00
_space_group_name_H-M_alt 'P 1 21/m 1'
_space_group_IT_number 11
loop_
_space_group_symop_operation_xyz
'x,y,z'
'-x,-y,-z'
'-x,y+1/2,-z'
'x,-y+1/2,z'
loop_
_atom_site_label
_atom_site_type_symbol
_atom_site_fract_x
_atom_site_fract_y
_atom_site_fract_z
Te1 Te 0.0772 0.2500 0.2680
Pd1 Pd 0.0284 0.7500 0.1874
Pd2 Pd 0.0287 0.7500 0.8938
Pd3 Pd 0.0833 0.2500 0.9759
Pd4 Pd 0.1387 0.7500 0.0574
Pd5 Pd 0.1412 0.7500 0.7608
Pd6 Pd 0.1955 0.2500 0.1388
Pd7 Pd 0.1960 0.2500 0.8439
Pd8 Pd 0.2493 0.7500 0.9269
Pd9 Pd 0.2522 0.7500 0.2247
Pd10 Pd 0.3055 0.2500 0.0086
Pd11 Pd 0.3579 0.7500 0.7941
Pd12 Pd 0.3622 0.7500 0.0900
Pd13 Pd 0.4152 0.2500 0.1716
Pd14 Pd 0.4157 0.2500 0.8774
Pd15 Pd 0.4715 0.7500 0.9592
Pd16 Pd 0.4760 0.7500 0.2510
```

Most intense lines, 2θ = 5–70°, in order of falling intensity:
39.78 deg, I = 100.0, hkl 1 1 -7; 38.05 deg, I = 41.2, hkl 1 1 -6; 46.02 deg, I = 40.4, hkl 4 1 3; 39.04 deg, I = 36.6, hkl 3 0 10; 6.15 deg, I = 32.2, hkl 0 0 2; 9.23 deg, I = 30.6, hkl 0 0 3; 46.82 deg, I = 30.4, hkl 4 1 4; 40.72 deg, I = 23.3, hkl 5 0 -4; 43.77 deg, I = 20.9, hkl 2 0 -13; 46.90 deg, I = 18.4, hkl 2 0 -14; 41.71 deg, I = 15.0, hkl 3 0 11; 66.64 deg, I = 15.0, hkl 2 1 17

***

For TePd9, a structure optimized by DFT (GGA-PBE) gives the simulated XRD peak list in this record (λ = 1.5418 Å (Cu Kα)).
Peak positions follow from Bragg's law for the DFT cell and can differ from measured ones.

Cell and atoms:
```
data_TePd9
_cell_length_a 2.8880
_cell_length_b 3.8332
_cell_length_c 39.5047
_cell_angle_alpha 90.00
_cell_angle_beta 90.00
_cell_angle_gamma 90.00
_space_group_name_H-M_alt 'P m m n'
_space_group_IT_number 59
loop_
_space_group_symop_operation_xyz
'x,y,z'
'-x,-y,-z'
'-x+1/2,-y+1/2,z'
'x+1/2,y+1/2,-z'
'x+1/2,-y,-z'
'-x+1/2,y,z'
'-x,y+1/2,-z'
'x,-y+1/2,z'
loop_
_atom_site_label
_atom_site_type_symbol
_atom_site_fract_x
_atom_site_fract_y
_atom_site_fract_z
Te1 Te 0.2500 0.2500 0.1656
Pd1 Pd 0.2500 0.2500 0.2362
Pd2 Pd 0.2500 0.2500 0.3066
Pd3 Pd 0.2500 0.2500 0.3771
Pd4 Pd 0.2500 0.2500 0.4473
Pd5 Pd 0.2500 0.2500 0.5176
Pd6 Pd 0.2500 0.2500 0.5878
Pd7 Pd 0.2500 0.2500 0.6579
Pd8 Pd 0.2500 0.2500 0.7280
Pd9 Pd 0.2500 0.2500 0.8015
```

Most intense lines, 2θ = 5–70°, in order of falling intensity:
39.06 deg, I = 100.0, hkl 1 1 0; 39.66 deg, I = 72.5, hkl 0 1 14; 44.91 deg, I = 50.2, hkl 1 0 14; 67.38 deg, I = 29.1, hkl 1 2 14; 47.45 deg, I = 28.4, hkl 0 2 0; 41.60 deg, I = 23.1, hkl 0 1 15; 46.68 deg, I = 14.1, hkl 1 0 15; 64.54 deg, I = 11.1, hkl 2 0 0; 6.71 deg, I = 11.1, hkl 0 0 3; 68.74 deg, I = 8.6, hkl 1 2 15; 11.20 deg, I = 8.3, hkl 0 0 5; 39.33 deg, I = 7.5, hkl 1 1 2